Record 1
Computed powder diffractogram of Ce9DyO20 for Cu Ka, from a PBE-relaxed structure.

```
data_Ce9DyO20
_cell_length_a 6.671
_cell_length_b 7.707
_cell_length_c 8.628
_cell_angle_alpha 102.85
_cell_angle_beta 97.55
_cell_angle_gamma 106.61
_symmetry_space_group_name_H-M 'P 1'
_symmetry_Int_Tables_number 1
loop_
_symmetry_equiv_pos_as_xyz
'x,y,z'
loop_
_atom_site_label
_atom_site_type_symbol
_atom_site_fract_x
_atom_site_fract_y
_atom_site_fract_z
Ce1 Ce 0.000 0.000 0.000
Ce2 Ce 0.199 0.400 0.398
Ce3 Ce 0.199 0.898 0.398
Ce4 Ce 0.398 0.799 0.801
Ce5 Ce 0.401 0.301 0.802
Ce6 Ce 0.599 0.699 0.198
Ce7 Ce 0.602 0.201 0.199
Ce8 Ce 0.801 0.102 0.602
Ce9 Ce 0.801 0.600 0.602
Dy1 Dy 0.000 0.500 0.000
O1 O 0.050 0.223 0.849
O2 O 0.050 0.726 0.849
O3 O 0.150 0.175 0.550
O4 O 0.150 0.675 0.550
O5 O 0.251 0.125 0.250
O6 O 0.251 0.626 0.252
O7 O 0.351 0.075 0.950
O8 O 0.352 0.576 0.949
O9 O 0.450 0.025 0.650
O10 O 0.450 0.525 0.650
O11 O 0.550 0.475 0.350
O12 O 0.550 0.975 0.350
O13 O 0.648 0.424 0.051
O14 O 0.649 0.925 0.050
O15 O 0.749 0.374 0.748
O16 O 0.749 0.875 0.750
O17 O 0.850 0.325 0.450
O18 O 0.850 0.825 0.450
O19 O 0.950 0.274 0.151
O20 O 0.950 0.777 0.151
```

The 8 most intense peaks (5 to 70 degrees two-theta), sorted by position:
d (Å)	Rel. int.
3.148	100
2.730	20
2.720	10
1.928	55
1.645	30
1.641	15
1.574	8
1.365	5

***

Record 2
Computed powder diffractogram of CeEr for Cu Ka, from a PBE-relaxed structure.

```
data_CeEr
_cell_length_a 3.498
_cell_length_b 3.498
_cell_length_c 5.747
_cell_angle_alpha 90.00
_cell_angle_beta 90.00
_cell_angle_gamma 120.00
_symmetry_space_group_name_H-M 'P 1'
_symmetry_Int_Tables_number 1
loop_
_symmetry_equiv_pos_as_xyz
'x,y,z'
loop_
_atom_site_label
_atom_site_type_symbol
_atom_site_fract_x
_atom_site_fract_y
_atom_site_fract_z
Ce1 Ce 0.000 0.000 0.000
Er1 Er 0.667 0.333 0.500
```

The 8 most intense peaks (5 to 70 degrees two-theta), sorted by position:
d (Å)	Rel. int.
3.029	24
2.873	27
2.680	100
2.085	17
1.749	19
1.619	22
1.494	22
1.465	16

***

Record 3
Computed powder diffractogram of CeEr for Cu Ka, from a PBE-relaxed structure.

```
data_CeEr
_cell_length_a 16.856
_cell_length_b 16.856
_cell_length_c 16.856
_cell_angle_alpha 12.07
_cell_angle_beta 12.07
_cell_angle_gamma 12.07
_symmetry_space_group_name_H-M 'P 1'
_symmetry_Int_Tables_number 1
loop_
_symmetry_equiv_pos_as_xyz
'x,y,z'
loop_
_atom_site_label
_atom_site_type_symbol
_atom_site_fract_x
_atom_site_fract_y
_atom_site_fract_z
Ce1 Ce 0.000 0.000 0.000
Ce2 Ce 0.112 0.112 0.112
Ce3 Ce 0.612 0.612 0.612
Er1 Er 0.223 0.223 0.223
Er2 Er 0.501 0.501 0.501
Er3 Er 0.723 0.723 0.723
```

The 8 most intense peaks (5 to 70 degrees two-theta), sorted by position:
d (Å)	Rel. int.
3.048	33
2.983	21
2.789	48
2.758	100
2.619	83
1.773	38
1.634	22
1.496	44

***

Record 4
Computed powder diffractogram of CeErMg2 for Cu Ka, from a PBE-relaxed structure.

```
data_CeErMg2
_cell_length_a 5.355
_cell_length_b 5.355
_cell_length_c 5.355
_cell_angle_alpha 60.00
_cell_angle_beta 60.00
_cell_angle_gamma 60.00
_symmetry_space_group_name_H-M 'P 1'
_symmetry_Int_Tables_number 1
loop_
_symmetry_equiv_pos_as_xyz
'x,y,z'
loop_
_atom_site_label
_atom_site_type_symbol
_atom_site_fract_x
_atom_site_fract_y
_atom_site_fract_z
Ce1 Ce 0.000 0.000 0.000
Er1 Er 0.500 0.500 0.500
Mg1 Mg 0.250 0.250 0.250
Mg2 Mg 0.750 0.750 0.750
```

The 8 most intense peaks (5 to 70 degrees two-theta), sorted by position:
d (Å)	Rel. int.
4.372	1
3.787	62
2.678	100
2.283	1
2.186	19
1.893	18
1.693	26
1.546	37

***

Record 5
Computed powder diffractogram of Ce4Er11S22 for Cu Ka, from a PBE-relaxed structure.

```
data_Ce4Er11S22
_cell_length_a 19.675
_cell_length_b 19.675
_cell_length_c 11.361
_cell_angle_alpha 91.45
_cell_angle_beta 91.45
_cell_angle_gamma 11.46
_symmetry_space_group_name_H-M 'P 1'
_symmetry_Int_Tables_number 1
loop_
_symmetry_equiv_pos_as_xyz
'x,y,z'
loop_
_atom_site_label
_atom_site_type_symbol
_atom_site_fract_x
_atom_site_fract_y
_atom_site_fract_z
Ce1 Ce 0.104 0.104 0.012
Ce2 Ce 0.367 0.367 0.348
Ce3 Ce 0.633 0.633 0.652
Ce4 Ce 0.896 0.896 0.988
Er1 Er 0.000 0.000 0.000
Er2 Er 0.070 0.070 0.361
Er3 Er 0.202 0.202 0.941
Er4 Er 0.263 0.263 0.352
Er5 Er 0.342 0.342 0.699
Er6 Er 0.462 0.462 0.271
Er7 Er 0.538 0.538 0.729
Er8 Er 0.658 0.658 0.301
Er9 Er 0.737 0.737 0.648
Er10 Er 0.798 0.798 0.059
Er11 Er 0.930 0.930 0.639
S1 S 0.008 0.008 0.241
S2 S 0.088 0.088 0.751
S3 S 0.135 0.135 0.454
S4 S 0.169 0.169 0.151
S5 S 0.189 0.189 0.690
S6 S 0.255 0.255 0.119
S7 S 0.280 0.280 0.589
S8 S 0.350 0.350 0.092
S9 S 0.407 0.407 0.788
S10 S 0.445 0.445 0.493
S11 S 0.453 0.453 0.031
S12 S 0.547 0.547 0.969
S13 S 0.555 0.555 0.507
S14 S 0.593 0.593 0.212
S15 S 0.650 0.650 0.908
S16 S 0.720 0.720 0.411
S17 S 0.745 0.745 0.881
S18 S 0.811 0.811 0.310
S19 S 0.831 0.831 0.849
S20 S 0.865 0.865 0.546
S21 S 0.912 0.912 0.249
S22 S 0.992 0.992 0.759
```

The 8 most intense peaks (5 to 70 degrees two-theta), sorted by position:
d (Å)	Rel. int.
3.786	78
3.672	100
3.366	61
3.217	64
2.836	64
2.638	55
2.145	57
1.965	52

***

Record 6
Computed powder diffractogram of CeEr3S6 for Cu Ka, from a PBE-relaxed structure.

```
data_CeEr3S6
_cell_length_a 11.037
_cell_length_b 3.967
_cell_length_c 11.274
_cell_angle_alpha 90.00
_cell_angle_beta 108.80
_cell_angle_gamma 90.00
_symmetry_space_group_name_H-M 'P 1'
_symmetry_Int_Tables_number 1
loop_
_symmetry_equiv_pos_as_xyz
'x,y,z'
loop_
_atom_site_label
_atom_site_type_symbol
_atom_site_fract_x
_atom_site_fract_y
_atom_site_fract_z
Ce1 Ce 0.049 0.250 0.194
Ce2 Ce 0.951 0.750 0.806
Er1 Er 0.160 0.250 0.586
Er2 Er 0.320 0.750 0.000
Er3 Er 0.443 0.250 0.333
Er4 Er 0.557 0.750 0.667
Er5 Er 0.680 0.250 0.000
Er6 Er 0.840 0.750 0.414
S1 S 0.081 0.750 0.405
S2 S 0.118 0.250 0.963
S3 S 0.196 0.750 0.750
S4 S 0.267 0.750 0.230
S5 S 0.393 0.250 0.558
S6 S 0.479 0.250 0.112
S7 S 0.521 0.750 0.888
S8 S 0.607 0.750 0.442
S9 S 0.733 0.250 0.770
S10 S 0.804 0.250 0.250
S11 S 0.882 0.750 0.037
S12 S 0.919 0.250 0.595
```

The 8 most intense peaks (5 to 70 degrees two-theta), sorted by position:
d (Å)	Rel. int.
3.757	78
3.679	100
3.385	69
3.223	50
2.880	71
2.617	51
2.133	77
1.983	50